# 1
Computed X-ray powder pattern
Compound: Pm6GaSe4
Radiation: CuKα
Structure: a PBE-relaxed structure
Peak positions follow from Bragg's law for the DFT cell and can differ from measured ones.

Most intense lines, 2θ = 10–90°, low angle first:
2θ/deg, Rel. int.
28.26, 91
29.34, 63
30.25, 100
31.71, 43
40.90, 40
43.93, 37

Structural model:
```
data_Pm6GaSe4
_chemical_formula_sum 'Pm12 Ga2 Se8'
_cell_length_a 7.230
_cell_length_b 7.230
_cell_length_c 21.283
_cell_angle_alpha 90.00
_cell_angle_beta 90.00
_cell_angle_gamma 146.88
_space_group_name_H-M_alt 'P 1'
_space_group_IT_number 1
loop_
_space_group_symop_operation_xyz
'x,y,z'
loop_
_atom_site_label
_atom_site_type_symbol
_atom_site_fract_x
_atom_site_fract_y
_atom_site_fract_z
Pm1 Pm 0.000 0.000 0.000
Pm2 Pm 0.000 0.000 0.500
Pm3 Pm 0.171 0.829 0.750
Pm4 Pm 0.275 0.725 0.085
Pm5 Pm 0.275 0.725 0.415
Pm6 Pm 0.446 0.554 0.667
Pm7 Pm 0.446 0.554 0.833
Pm8 Pm 0.554 0.446 0.167
Pm9 Pm 0.554 0.446 0.333
Pm10 Pm 0.725 0.275 0.585
Pm11 Pm 0.725 0.275 0.915
Pm12 Pm 0.829 0.171 0.250
Ga1 Ga 0.169 0.831 0.250
Ga2 Ga 0.831 0.169 0.750
Se1 Se 0.086 0.914 0.626
Se2 Se 0.086 0.914 0.874
Se3 Se 0.362 0.638 0.541
Se4 Se 0.362 0.638 0.959
Se5 Se 0.638 0.362 0.041
Se6 Se 0.638 0.362 0.459
Se7 Se 0.914 0.086 0.126
Se8 Se 0.914 0.086 0.374
```



# 2
Computed X-ray powder pattern
Compound: PmGa2Se4
Radiation: CuKα
Structure: a PBE-relaxed structure
Peak positions follow from Bragg's law for the DFT cell and can differ from measured ones.

Most intense lines, 2θ = 10–90°, low angle first:
2θ/deg, Rel. int.
17.87, 35
29.32, 100
32.12, 26
32.83, 37
46.59, 65
49.79, 23

Structural model:
```
data_PmGa2Se4
_chemical_formula_sum 'Pm1 Ga2 Se4'
_cell_length_a 6.346
_cell_length_b 6.346
_cell_length_c 6.346
_cell_angle_alpha 105.12
_cell_angle_beta 105.12
_cell_angle_gamma 118.58
_space_group_name_H-M_alt 'P 1'
_space_group_IT_number 1
loop_
_space_group_symop_operation_xyz
'x,y,z'
loop_
_atom_site_label
_atom_site_type_symbol
_atom_site_fract_x
_atom_site_fract_y
_atom_site_fract_z
Pm1 Pm 0.000 0.000 0.000
Ga1 Ga 0.250 0.750 0.500
Ga2 Ga 0.750 0.250 0.500
Se1 Se 0.185 0.334 0.519
Se2 Se 0.334 0.815 0.149
Se3 Se 0.666 0.185 0.851
Se4 Se 0.815 0.666 0.481
```